(1)
Computed powder diffraction line list
Compound: Li3Fe8B8O24
Radiation: CuKα
Structure: a crystal structure in the Materials Project, relaxed with GGA+U

Structure:
a b c (Å): 5.287 9.071 11.360
angles (deg): 66.67 77.14 89.81
Atoms (fractional coordinates):
Li: 0.000 0.000 0.000
Li: 0.075 0.388 0.252
Li: 0.740 0.763 0.513
Fe: 0.024 0.680 0.976
Fe: 0.081 0.059 0.228
Fe: 0.269 0.598 0.474
Fe: 0.326 0.979 0.721
Fe: 0.522 0.183 0.977
Fe: 0.577 0.558 0.223
Fe: 0.773 0.118 0.480
Fe: 0.827 0.473 0.731
B: 0.023 0.347 0.981
B: 0.081 0.729 0.220
B: 0.270 0.927 0.478
B: 0.321 0.312 0.723
B: 0.536 0.851 0.973
B: 0.566 0.224 0.230
B: 0.786 0.450 0.471
B: 0.825 0.814 0.726
O: 0.040 0.958 0.431
O: 0.043 0.807 0.779
O: 0.118 0.194 0.027
O: 0.127 0.474 0.996
O: 0.201 0.455 0.673
O: 0.215 0.170 0.733
O: 0.278 0.680 0.283
O: 0.294 0.859 0.935
O: 0.370 0.028 0.525
O: 0.394 0.793 0.480
O: 0.441 0.353 0.233
O: 0.454 0.114 0.193
O: 0.543 0.319 0.766
O: 0.554 0.483 0.433
O: 0.647 0.704 0.010
O: 0.654 0.982 0.974
O: 0.699 0.954 0.691
O: 0.748 0.687 0.703
O: 0.810 0.198 0.264
O: 0.819 0.363 0.920
O: 0.879 0.555 0.520
O: 0.922 0.330 0.454
O: 0.981 0.622 0.175
O: 0.985 0.875 0.198

Peak list (12 most intense, 5 to 70 degrees two-theta, most intense first)
| d [Å] | 2θ (°) | I_rel |
| --- | --- | --- |
| 4.143 | 21.4 | 100.0 |
| 2.531 | 35.5 | 61.7 |
| 4.535 | 19.6 | 53.5 |
| 4.567 | 19.4 | 30.7 |
| 3.403 | 26.2 | 24.8 |
| 3.417 | 26.1 | 24.1 |
| 2.621 | 34.2 | 23.6 |
| 2.628 | 34.1 | 21.8 |
| 2.213 | 40.8 | 20.0 |
| 2.643 | 33.9 | 19.0 |
| 3.371 | 26.4 | 18.1 |
| 2.228 | 40.5 | 17.8 |

(2)
Computed powder diffraction line list
Compound: PWO4F
Radiation: CuKα
Structure: a crystal structure in the Materials Project, relaxed with GGA+U

Structure:
a b c (Å): 5.382 5.385 7.726
angles (deg): 106.32 109.04 94.98
Atoms (fractional coordinates):
P: 0.115 0.425 0.262
P: 0.885 0.575 0.738
W: 0.000 0.000 0.500
W: 0.500 0.500 0.000
O: 0.156 0.260 0.399
O: 0.179 0.654 0.884
O: 0.186 0.722 0.384
O: 0.304 0.364 0.150
O: 0.696 0.636 0.850
O: 0.814 0.278 0.616
O: 0.821 0.346 0.116
O: 0.844 0.740 0.601
F: 0.329 0.147 0.765
F: 0.671 0.853 0.235

Peak list (12 most intense, 5 to 70 degrees two-theta, most intense first)
| d [Å] | 2θ (°) | I_rel |
| --- | --- | --- |
| 5.006 | 17.7 | 100.0 |
| 4.929 | 18.0 | 95.3 |
| 3.481 | 25.6 | 69.4 |
| 3.563 | 25.0 | 64.6 |
| 3.186 | 28.0 | 62.7 |
| 3.966 | 22.4 | 58.9 |
| 3.449 | 25.8 | 24.4 |
| 2.648 | 33.8 | 23.4 |
| 2.456 | 36.6 | 22.9 |
| 2.461 | 36.5 | 22.1 |
| 3.249 | 27.4 | 19.9 |
| 2.559 | 35.1 | 19.5 |

(3)
Computed powder diffraction line list
Compound: Mn2VNi3P6O24
Radiation: CuKα
Structure: a crystal structure in the Materials Project, relaxed with GGA+U

Structure:
a b c (Å): 8.558 8.558 8.558
angles (deg): 60.67 60.67 60.67
Atoms (fractional coordinates):
Mn: 0.000 0.000 0.000
Mn: 0.499 0.499 0.499
V: 0.646 0.646 0.646
Ni: 0.143 0.143 0.143
Ni: 0.357 0.357 0.357
Ni: 0.858 0.858 0.858
P: 0.045 0.457 0.753
P: 0.252 0.958 0.546
P: 0.457 0.753 0.045
P: 0.546 0.252 0.958
P: 0.753 0.045 0.457
P: 0.958 0.546 0.252
O: 0.008 0.608 0.821
O: 0.044 0.262 0.909
O: 0.094 0.938 0.745
O: 0.112 0.515 0.313
O: 0.197 0.982 0.390
O: 0.236 0.444 0.590
O: 0.262 0.909 0.044
O: 0.313 0.112 0.515
O: 0.390 0.197 0.982
O: 0.418 0.757 0.571
O: 0.444 0.590 0.236
O: 0.515 0.313 0.112
O: 0.515 0.681 0.877
O: 0.571 0.418 0.757
O: 0.590 0.236 0.444
O: 0.608 0.821 0.008
O: 0.681 0.877 0.515
O: 0.745 0.094 0.938
O: 0.757 0.571 0.418
O: 0.821 0.008 0.608
O: 0.877 0.515 0.681
O: 0.909 0.044 0.262
O: 0.938 0.745 0.094
O: 0.982 0.390 0.197

Peak list (12 most intense, 5 to 70 degrees two-theta, most intense first)
| d [Å] | 2θ (°) | I_rel |
| --- | --- | --- |
| 3.671 | 24.2 | 100.0 |
| 4.323 | 20.5 | 89.7 |
| 2.709 | 33.1 | 71.2 |
| 2.496 | 36.0 | 41.0 |
| 1.917 | 47.4 | 32.4 |
| 1.634 | 56.3 | 28.3 |
| 1.835 | 49.7 | 27.2 |
| 1.479 | 62.8 | 20.0 |
| 2.804 | 31.9 | 15.8 |
| 1.624 | 56.7 | 15.7 |
| 4.279 | 20.8 | 14.7 |
| 3.523 | 25.3 | 14.3 |

(4)
Computed powder diffraction line list
Compound: LiFeB2O5
Radiation: CuKα
Structure: a crystal structure in the Materials Project, relaxed with GGA+U

Structure:
a b c (Å): 7.310 7.310 9.784
angles (deg): 110.54 110.54 90.98
Atoms (fractional coordinates):
Li: 0.121 0.879 0.750
Li: 0.339 0.661 0.250
Li: 0.661 0.339 0.750
Li: 0.879 0.121 0.250
Fe: 0.147 0.458 0.849
Fe: 0.458 0.147 0.349
Fe: 0.542 0.853 0.651
Fe: 0.853 0.542 0.151
B: 0.099 0.763 0.475
B: 0.237 0.901 0.025
B: 0.261 0.273 0.095
B: 0.273 0.261 0.595
B: 0.727 0.739 0.405
B: 0.739 0.727 0.905
B: 0.763 0.099 0.975
B: 0.901 0.237 0.525
O: 0.073 0.217 0.487
O: 0.095 0.684 0.325
O: 0.166 0.732 0.890
O: 0.206 0.419 0.039
O: 0.217 0.073 0.987
O: 0.268 0.834 0.610
O: 0.316 0.905 0.175
O: 0.326 0.355 0.754
O: 0.355 0.326 0.254
O: 0.419 0.206 0.539
O: 0.581 0.794 0.461
O: 0.645 0.674 0.746
O: 0.674 0.645 0.246
O: 0.684 0.095 0.825
O: 0.732 0.166 0.390
O: 0.783 0.927 0.013
O: 0.794 0.581 0.961
O: 0.834 0.268 0.110
O: 0.905 0.316 0.675
O: 0.927 0.783 0.513

Peak list (12 most intense, 5 to 70 degrees two-theta, most intense first)
| d [Å] | 2θ (°) | I_rel |
| --- | --- | --- |
| 3.654 | 24.4 | 100.0 |
| 4.438 | 20.0 | 62.1 |
| 4.332 | 20.5 | 29.4 |
| 4.511 | 19.7 | 27.7 |
| 3.332 | 26.8 | 22.2 |
| 3.052 | 29.3 | 21.0 |
| 2.405 | 37.4 | 18.5 |
| 2.846 | 31.4 | 14.8 |
| 2.373 | 37.9 | 13.9 |
| 6.664 | 13.3 | 13.7 |
| 2.833 | 31.6 | 13.6 |
| 1.960 | 46.3 | 10.9 |

(5)
Computed powder diffraction line list
Compound: Rb2CaNd2W4O16
Radiation: CuKα
Structure: a crystal structure in the Materials Project, relaxed with GGA+U

Structure:
a b c (Å): 6.781 7.763 8.404
angles (deg): 76.40 69.88 72.59
Atoms (fractional coordinates):
Rb: 0.000 0.000 0.000
Rb: 0.410 0.310 0.273
Ca: 0.283 0.503 0.650
Nd: 0.454 0.814 0.290
Nd: 0.928 0.497 0.034
W: 0.516 0.655 0.838
W: 0.526 0.146 0.842
W: 0.877 0.657 0.469
W: 0.878 0.155 0.469
O: 0.173 0.040 0.416
O: 0.180 0.644 0.410
O: 0.222 0.280 0.878
O: 0.223 0.654 0.888
O: 0.460 0.929 0.817
O: 0.531 0.046 0.068
O: 0.551 0.674 0.568
O: 0.557 0.253 0.579
O: 0.560 0.635 0.064
O: 0.574 0.376 0.867
O: 0.816 0.917 0.448
O: 0.827 0.062 0.733
O: 0.837 0.685 0.246
O: 0.846 0.622 0.727
O: 0.854 0.267 0.238
O: 0.939 0.397 0.483

Peak list (12 most intense, 5 to 70 degrees two-theta, most intense first)
| d [Å] | 2θ (°) | I_rel |
| --- | --- | --- |
| 2.932 | 30.5 | 100.0 |
| 3.853 | 23.1 | 96.5 |
| 5.740 | 15.4 | 92.9 |
| 1.992 | 45.5 | 86.8 |
| 2.708 | 33.1 | 84.6 |
| 2.742 | 32.7 | 81.0 |
| 3.091 | 28.9 | 81.0 |
| 3.522 | 25.3 | 78.7 |
| 3.545 | 25.1 | 76.5 |
| 2.905 | 30.8 | 68.5 |
| 2.892 | 30.9 | 68.0 |
| 3.690 | 24.1 | 65.6 |

(6)
Computed powder diffraction line list
Compound: LiFe4P3O12
Radiation: CuKα
Structure: a crystal structure in the Materials Project, relaxed with GGA+U

Structure:
a b c (Å): 7.653 7.904 9.645
angles (deg): 110.47 110.68 94.96
Atoms (fractional coordinates):
Li: 0.113 0.348 0.082
Li: 0.887 0.652 0.918
Fe: 0.210 0.911 0.214
Fe: 0.213 0.964 0.567
Fe: 0.225 0.588 0.577
Fe: 0.494 0.712 0.051
Fe: 0.506 0.288 0.949
Fe: 0.775 0.412 0.423
Fe: 0.787 0.036 0.433
Fe: 0.790 0.089 0.786
P: 0.094 0.367 0.757
P: 0.189 0.949 0.891
P: 0.486 0.262 0.576
P: 0.514 0.738 0.424
P: 0.811 0.051 0.109
P: 0.906 0.633 0.243
O: 0.028 0.636 0.144
O: 0.029 0.083 0.166
O: 0.029 0.484 0.655
O: 0.061 0.163 0.637
O: 0.247 0.865 0.744
O: 0.259 0.843 0.004
O: 0.294 0.159 0.986
O: 0.311 0.453 0.876
O: 0.312 0.092 0.450
O: 0.354 0.745 0.486
O: 0.425 0.445 0.606
O: 0.446 0.775 0.265
O: 0.554 0.225 0.735
O: 0.575 0.555 0.394
O: 0.646 0.255 0.514
O: 0.688 0.908 0.550
O: 0.689 0.547 0.124
O: 0.706 0.841 0.014
O: 0.741 0.157 0.996
O: 0.753 0.135 0.256
O: 0.939 0.837 0.363
O: 0.971 0.516 0.345
O: 0.971 0.917 0.834
O: 0.972 0.364 0.856

Peak list (12 most intense, 5 to 70 degrees two-theta, most intense first)
| d [Å] | 2θ (°) | I_rel |
| --- | --- | --- |
| 2.867 | 31.2 | 100.0 |
| 2.812 | 31.8 | 82.0 |
| 3.011 | 29.7 | 77.5 |
| 3.038 | 29.4 | 67.1 |
| 4.488 | 19.8 | 62.9 |
| 3.473 | 25.6 | 62.4 |
| 2.920 | 30.6 | 61.8 |
| 2.838 | 31.5 | 58.7 |
| 4.571 | 19.4 | 57.3 |
| 6.887 | 12.9 | 55.6 |
| 7.018 | 12.6 | 52.9 |
| 7.190 | 12.3 | 43.3 |

What did the fourth record say?
Computed powder diffraction line list
Compound: LiFeB2O5
Radiation: CuKα
Structure: a crystal structure in the Materials Project, relaxed with GGA+U

Structure:
a b c (Å): 7.310 7.310 9.784
angles (deg): 110.54 110.54 90.98
Atoms (fractional coordinates):
Li: 0.121 0.879 0.750
Li: 0.339 0.661 0.250
Li: 0.661 0.339 0.750
Li: 0.879 0.121 0.250
Fe: 0.147 0.458 0.849
Fe: 0.458 0.147 0.349
Fe: 0.542 0.853 0.651
Fe: 0.853 0.542 0.151
B: 0.099 0.763 0.475
B: 0.237 0.901 0.025
B: 0.261 0.273 0.095
B: 0.273 0.261 0.595
B: 0.727 0.739 0.405
B: 0.739 0.727 0.905
B: 0.763 0.099 0.975
B: 0.901 0.237 0.525
O: 0.073 0.217 0.487
O: 0.095 0.684 0.325
O: 0.166 0.732 0.890
O: 0.206 0.419 0.039
O: 0.217 0.073 0.987
O: 0.268 0.834 0.610
O: 0.316 0.905 0.175
O: 0.326 0.355 0.754
O: 0.355 0.326 0.254
O: 0.419 0.206 0.539
O: 0.581 0.794 0.461
O: 0.645 0.674 0.746
O: 0.674 0.645 0.246
O: 0.684 0.095 0.825
O: 0.732 0.166 0.390
O: 0.783 0.927 0.013
O: 0.794 0.581 0.961
O: 0.834 0.268 0.110
O: 0.905 0.316 0.675
O: 0.927 0.783 0.513

Peak list (12 most intense, 5 to 70 degrees two-theta, most intense first)
| d [Å] | 2θ (°) | I_rel |
| --- | --- | --- |
| 3.654 | 24.4 | 100.0 |
| 4.438 | 20.0 | 62.1 |
| 4.332 | 20.5 | 29.4 |
| 4.511 | 19.7 | 27.7 |
| 3.332 | 26.8 | 22.2 |
| 3.052 | 29.3 | 21.0 |
| 2.405 | 37.4 | 18.5 |
| 2.846 | 31.4 | 14.8 |
| 2.373 | 37.9 | 13.9 |
| 6.664 | 13.3 | 13.7 |
| 2.833 | 31.6 | 13.6 |
| 1.960 | 46.3 | 10.9 |